Calculated XRD peak list
Compound: Cs2AcTiS4
Radiation: Cu Kα X-rays
Structure: DFT lattice parameters and positions (PBE)
Kinematic intensities with the Lorentz-polarization factor, no thermal factor.

Top 10 peaks for 15 to 90 degrees two-theta, by angle:
| two_theta | I/Imax |
| --- | --- |
| 22.79 | 37.7 |
| 24.46 | 100.0 |
| 27.16 | 11.2 |
| 32.45 | 27.5 |
| 41.05 | 46.9 |
| 44.02 | 25.6 |
| 50.14 | 11.4 |
| 52.44 | 12.7 |
| 53.28 | 11.8 |
| 63.78 | 13.4 |

Crystal structure
Cell: 7.803 7.803 9.682 Å, 90.00 90.00 90.00°
Space group I-4 (No. 82)
Inequivalent atoms, fractional coordinates:
Cs  0.000  0.000  0.000
Cs  0.000  0.500  0.250
Ac  0.000  0.500  0.750
Ti  0.000  0.000  0.500
S  0.158  0.224  0.606